For Mg6CuC, the GGA-PBE geometry in the Materials Project gives the theoretical XRD peak list in this record (a wavelength of 1.5418 Å).

Main lines, by angle (5 to 70 degrees two-theta):
2theta	intensity	(hkl)
14.3	42	0 1 1
28.0	31	1 1 1
33.6	32	0 3 1
37.8	100	1 2 2
38.8	20	0 0 4
39.5	49	1 1 3
43.3	12	0 4 0
49.2	17	2 0 0
59.9	11	0 3 5
60.8	11	2 3 1

Crystal structure
```
data_Mg6CuC
_chemical_formula_sum 'Mg12 Cu2 C2'
_cell_length_a 3.707
_cell_length_b 8.361
_cell_length_c 9.275
_cell_angle_alpha 90.00
_cell_angle_beta 90.00
_cell_angle_gamma 90.00
_symmetry_space_group_name_H-M 'A m m 2'
_symmetry_Int_Tables_number 38
loop_
_symmetry_equiv_pos_as_xyz
'x,y,z'
'-x,-y,z'
'-x,y,z'
'x,-y,z'
'x,y+1/2,z+1/2'
'-x,-y+1/2,z+1/2'
'-x,y+1/2,z+1/2'
'x,-y+1/2,z+1/2'
loop_
_atom_site_label
_atom_site_fract_x
_atom_site_fract_y
_atom_site_fract_z
Mg1 0.000 0.000 0.000
Mg2 0.000 0.000 0.402
Mg3 0.000 0.173 0.688
Mg4 0.500 0.245 0.448
Cu1 0.500 0.000 0.192
C1 0.500 0.000 0.561
```